No. 1
Calculated powder diffraction line list of NaGaC for Cu Kα, 1.54184 Å, from a structure optimized by DFT (PBE).

Peak list (10 most intense, 2θ = 15–90°, sorted by position)
| index | 2theta | I/Imax |
| --- | --- | --- |
| 1 1 0 | 23.64 | 85.8 |
| 0 0 2 | 23.97 | 85.6 |
| 1 1 1 | 29.10 | 74.1 |
| 1 1 -2 | 29.37 | 75.5 |
| 0 0 3 | 36.30 | 65.4 |
| 0 2 0 | 40.09 | 76.3 |
| 3 1 -1 | 40.92 | 53.5 |
| 3 1 -2 | 41.12 | 100.0 |
| 3 1 0 | 44.37 | 65.9 |
| 3 1 -3 | 44.94 | 56.6 |

Structure:
Lattice parameters (Å, degrees): 7.6812 4.4985 8.2968 90.00 116.51 90.00
Space group Cm (No. 8)
Symmetry-distinct sites (fractional):
Na1 0.0000 0.0000 0.0000 [2 per cell]
Na2 0.0715 0.5000 0.3878 [2 per cell]
Ga1 0.0440 0.5000 0.7483 [2 per cell]
Ga2 0.2115 0.0000 0.7446 [2 per cell]
C1 0.1883 0.0000 0.3304 [2 per cell]
C2 0.2945 0.0000 0.4989 [2 per cell]



No. 2
Calculated powder diffraction line list of NaGaC for Cu Kα, 1.54184 Å, from a structure optimized by DFT (PBE).

Peak list (10 most intense, 2θ = 15–90°, sorted by position)
| index | 2theta | I/Imax |
| --- | --- | --- |
| 1 0 1 | 19.52 | 60.4 |
| 1 1 1 | 31.19 | 89.5 |
| 1 0 2 | 31.64 | 51.2 |
| 2 1 0 | 36.43 | 79.3 |
| 2 1 1 | 39.27 | 34.5 |
| 1 1 2 | 40.16 | 100.0 |
| 3 0 1 | 43.47 | 65.3 |
| 0 2 0 | 49.32 | 39.1 |
| 0 1 3 | 50.25 | 40.9 |
| 3 2 1 | 67.82 | 31.6 |

Structure:
Lattice parameters (Å, degrees): 6.6231 3.6952 6.2542 90.00 90.00 90.00
Space group Pnma (No. 62)
Symmetry-distinct sites (fractional):
Na1 0.0254 0.2500 0.1568 [4 per cell]
Ga1 0.1524 0.2500 0.5832 [4 per cell]
C1 0.1813 0.7500 0.3931 [4 per cell]



No. 3
Calculated powder diffraction line list of Na2GaC2O6 for Cu Kα, 1.54184 Å, from a structure optimized by DFT (PBE).

Peak list (10 most intense, 2θ = 15–90°, sorted by position)
| index | 2theta | I/Imax |
| --- | --- | --- |
| 1 0 0 | 19.99 | 12.2 |
| 1 0 1 | 24.66 | 100.0 |
| 1 1 0 | 34.99 | 36.0 |
| 1 0 2 | 35.33 | 73.8 |
| 1 1 1 | 37.97 | 23.2 |
| 2 0 1 | 43.28 | 38.2 |
| 0 2 2 | 50.57 | 28.8 |
| 1 2 1 | 56.82 | 23.4 |
| 2 -1 3 | 57.29 | 22.4 |
| 2 1 2 | 62.97 | 15.3 |

Structure:
Lattice parameters (Å, degrees): 5.1292 5.1292 6.1942 90.00 90.00 120.00
Space group P-3 (No. 147)
Symmetry-distinct sites (fractional):
Na1 0.3333 0.6667 0.3228 [2 per cell]
Ga1 0.0000 0.0000 0.0000 [1 per cell]
C1 0.3333 0.6667 0.7823 [2 per cell]
O1 0.1210 0.3842 0.7780 [6 per cell]



No. 4
Calculated powder diffraction line list of NaGaC2O6 for Cu Kα, 1.54184 Å, from a structure optimized by DFT (PBE).

Peak list (10 most intense, 2θ = 15–90°, sorted by position)
| index | 2theta | I/Imax |
| --- | --- | --- |
| 0 0 3 | 16.31 | 48.7 |
| 1 0 1 | 22.30 | 30.9 |
| 0 1 2 | 24.24 | 22.4 |
| 1 0 4 | 30.89 | 100.0 |
| 1 1 0 | 37.90 | 16.9 |
| 2 -1 3 | 41.51 | 27.0 |
| 2 0 2 | 45.50 | 17.6 |
| 0 1 8 | 49.95 | 18.6 |
| 2 -1 6 | 51.09 | 31.0 |
| 3 -2 2 | 60.65 | 13.1 |

Structure:
Lattice parameters (Å, degrees): 4.7485 4.7485 16.3022 90.00 90.00 120.00
Space group R-3 (No. 148, hexagonal axes)
Symmetry-distinct sites (fractional):
Na1 0.0000 0.0000 0.0000 [3 per cell]
Ga1 0.0000 0.0000 0.5000 [3 per cell]
C1 0.0000 0.0000 0.2360 [6 per cell]
O1 0.0353 0.2890 0.2379 [18 per cell]



No. 5
Calculated powder diffraction line list of NaGa2C2O7 for Cu Kα, 1.54184 Å, from a structure optimized by DFT (PBE).

Peak list (10 most intense, 2θ = 15–90°, sorted by position)
| index | 2theta | I/Imax |
| --- | --- | --- |
| 0 0 6 | 20.25 | 56.7 |
| 1 0 1 | 21.50 | 100.0 |
| 0 1 2 | 22.29 | 36.6 |
| 1 0 4 | 25.22 | 13.8 |
| 1 0 7 | 32.00 | 72.5 |
| 1 1 0 | 37.20 | 42.4 |
| 2 0 2 | 43.80 | 17.7 |
| 1 1 9 | 48.89 | 25.9 |
| 0 1 14 | 53.43 | 15.8 |
| 1 2 2 | 58.78 | 13.0 |

Structure:
Lattice parameters (Å, degrees): 4.8335 4.8335 26.3153 90.00 90.00 120.00
Space group R32 (No. 155, hexagonal axes)
Symmetry-distinct sites (fractional):
Na1 0.0000 0.0000 0.0000 [3 per cell]
Ga1 0.0000 0.0000 0.4319 [6 per cell]
C1 0.0000 0.0000 0.2728 [6 per cell]
O1 0.0000 0.0000 0.5000 [3 per cell]
O2 0.0174 0.2777 0.2727 [18 per cell]



No. 6
Calculated powder diffraction line list of NaGaPC for Cu Kα, 1.54184 Å, from a structure optimized by DFT (PBE).

Peak list (10 most intense, 2θ = 15–90°, sorted by position)
| index | 2theta | I/Imax |
| --- | --- | --- |
| 0 1 1 | 26.71 | 16.6 |
| 1 0 1 | 31.78 | 47.4 |
| 0 1 3 | 32.36 | 100.0 |
| 1 0 3 | 36.73 | 25.7 |
| 0 0 6 | 38.63 | 21.6 |
| 1 1 0 | 40.93 | 18.1 |
| 1 1 2 | 43.01 | 23.6 |
| 1 1 4 | 48.83 | 41.5 |
| 1 0 7 | 56.06 | 16.3 |
| 2 1 3 | 74.38 | 15.6 |

Structure:
Lattice parameters (Å, degrees): 2.8745 3.4369 13.9837 90.00 90.00 90.00
Space group Imm2 (No. 44)
Symmetry-distinct sites (fractional):
Na1 0.0000 0.0000 0.0000 [2 per cell]
Ga1 0.0000 0.0000 0.6865 [2 per cell]
P1 0.0000 0.5000 0.8236 [2 per cell]
C1 0.0000 0.0000 0.3932 [2 per cell]



No. 7
Calculated powder diffraction line list of NaGaPC for Cu Kα, 1.54184 Å, from a structure optimized by DFT (PBE).

Peak list (10 most intense, 2θ = 15–90°, sorted by position)
| index | 2theta | I/Imax |
| --- | --- | --- |
| 0 0 2 | 22.91 | 19.4 |
| 0 0 3 | 34.67 | 47.7 |
| 1 0 0 | 34.79 | 65.7 |
| 1 0 1 | 36.73 | 100.0 |
| 0 1 2 | 42.07 | 53.7 |
| 1 0 3 | 49.93 | 53.1 |
| 1 0 4 | 59.63 | 26.0 |
| 1 1 0 | 62.38 | 27.3 |
| 1 1 3 | 73.39 | 36.1 |
| 0 1 6 | 83.63 | 12.8 |

Structure:
Lattice parameters (Å, degrees): 2.9772 2.9772 7.7623 90.00 90.00 120.00
Space group P3m1 (No. 156)
Symmetry-distinct sites (fractional):
Na1 0.0000 0.0000 0.0000 [1 per cell]
Ga1 0.6667 0.3333 0.3249 [1 per cell]
P1 0.6667 0.3333 0.6477 [1 per cell]
C1 0.3333 0.6667 0.7408 [1 per cell]



No. 8
Calculated powder diffraction line list of NaGaPC for Cu Kα, 1.54184 Å, from a structure optimized by DFT (PBE).

Peak list (10 most intense, 2θ = 15–90°, sorted by position)
| index | 2theta | I/Imax |
| --- | --- | --- |
| 0 0 2 | 19.98 | 23.2 |
| 0 1 1 | 21.52 | 51.9 |
| 1 0 1 | 32.50 | 64.7 |
| 0 1 3 | 35.91 | 100.0 |
| 1 1 0 | 36.51 | 38.0 |
| 0 2 0 | 38.62 | 51.0 |
| 1 1 2 | 41.96 | 57.0 |
| 1 2 1 | 51.34 | 34.2 |
| 1 1 4 | 55.73 | 34.0 |
| 2 1 3 | 75.90 | 20.5 |

Structure:
Lattice parameters (Å, degrees): 2.8975 4.6623 8.8891 90.00 90.00 90.00
Space group Imm2 (No. 44)
Symmetry-distinct sites (fractional):
Na1 0.0000 0.0000 0.0000 [2 per cell]
Ga1 0.0000 0.0000 0.3401 [2 per cell]
P1 0.0000 0.5000 0.1887 [2 per cell]
C1 0.0000 0.0000 0.5723 [2 per cell]